Starting from a crystal structure in Alexandria, relaxed with GGA-PBE, the X-ray powder pattern of CeTlGa was calculated for Cu Ka.
No peak broadening, texture or thermal motion is included.

a b c (Å): 4.641 4.641 8.396
angles (deg): 90.00 90.00 120.00
Positions (direct):
Ce 0.000 0.000 0.228
Ce 0.000 0.000 0.772
Tl 0.333 0.667 0.431
Tl 0.667 0.333 0.569
Ga 0.333 0.667 0.966
Ga 0.667 0.333 0.034

The 6 most intense peaks (2θ from 5° to 70°), in order of falling intensity:
d 2.903, I = 100; d 2.321, I = 58; d 1.813, I = 26; d 1.429, I = 23; d 1.861, I = 21; d 3.625, I = 20